The following is a computed powder diffractogram of Ag3WF8. It was derived from a crystal structure in Alexandria, relaxed with PBE+U, using Cu Kα, 1.54184 Å.
Neutral-atom scattering factors, no anomalous dispersion.

Cell and atoms:
```
data_Ag3WF8
_chemical_formula_sum 'Ag6 W2 F16'
_cell_length_a 5.8356
_cell_length_b 11.0554
_cell_length_c 7.7482
_cell_angle_alpha 90.00
_cell_angle_beta 90.00
_cell_angle_gamma 90.00
_space_group_name_H-M_alt 'C 2 2 2'
_space_group_IT_number 21
loop_
_space_group_symop_operation_xyz
'x,y,z'
'-x,-y,z'
'x,-y,-z'
'-x,y,-z'
'x+1/2,y+1/2,z'
'-x+1/2,-y+1/2,z'
'x+1/2,-y+1/2,-z'
'-x+1/2,y+1/2,-z'
loop_
_atom_site_label
_atom_site_type_symbol
_atom_site_fract_x
_atom_site_fract_y
_atom_site_fract_z
Ag1 Ag 0.0000 0.0000 0.0000
Ag2 Ag 0.2500 0.2500 0.7830
W1 W 0.0000 0.0000 0.5000
F1 F 0.0000 0.1787 0.5000
F2 F 0.0000 0.1934 0.0000
F3 F 0.2392 0.0066 0.6719
```

Top 8 peaks for 15 to 90 degrees two-theta, by angle:
hkl	d [Å]	Position (°2θ)	I_rel
1 1 0	5.161	17.18	100
1 1 1	4.295	20.68	66
0 2 2	3.173	28.13	44
1 1 2	3.098	28.82	58
0 4 0	2.764	32.39	34
2 2 0	2.580	34.77	25
2 0 2	2.331	38.63	46
2 4 2	1.782	51.27	29